Diffraction record for SrGa2Te4. The powder diffraction line list is computed, not measured: it uses a crystal structure in the Materials Project, relaxed with GGA-PBE and Cu Kα X-rays.
Intensities are scaled so that the largest is 1000.

Atomic structure:
```
SrGa2Te4
1.0
-4.202 4.202 3.376
4.202 -4.202 3.376
4.202 4.202 -3.376
Sr Ga Te
1 2 4
direct
0.000 0.000 0.000
0.000 0.500 0.500
0.500 0.000 0.500
0.076 0.576 0.151
0.424 0.924 0.849
0.576 0.424 0.500
0.924 0.076 0.500
```

The 10 most intense peaks (10° ≤ 2θ ≤ 90°), low angle first:
| 2θ/deg | d [Å] | I/Imax |
| --- | --- | --- |
| 14.91 | 5.942 | 201 |
| 27.16 | 3.284 | 1000 |
| 30.08 | 2.971 | 230 |
| 34.07 | 2.632 | 556 |
| 43.33 | 2.088 | 165 |
| 45.81 | 1.981 | 129 |
| 46.55 | 1.951 | 304 |
| 47.06 | 1.931 | 220 |
| 53.65 | 1.708 | 100 |
| 61.37 | 1.511 | 132 |

=====

Diffraction record for MgSi2. The powder diffraction line list is computed, not measured: it uses a crystal structure in the Materials Project, relaxed with GGA-PBE and Cu Kα X-rays.
Intensities are scaled so that the largest is 1000.

Atomic structure:
```
MgSi2
1.0
8.489 -1.881 0.000
8.489 1.881 0.000
-0.488 0.000 6.983
Mg Si
4 8
direct
0.000 0.000 0.000
0.231 0.231 0.210
0.504 0.504 0.644
0.723 0.723 0.563
0.051 0.051 0.389
0.122 0.122 0.735
0.346 0.346 0.504
0.376 0.376 0.851
0.606 0.606 0.232
0.670 0.670 0.930
0.821 0.821 0.008
0.903 0.903 0.341
```

The 10 most intense peaks (10° ≤ 2θ ≤ 90°), low angle first:
| 2θ/deg | d [Å] | I/Imax |
| --- | --- | --- |
| 27.26 | 3.271 | 402 |
| 30.84 | 2.899 | 544 |
| 31.75 | 2.818 | 678 |
| 35.11 | 2.556 | 382 |
| 37.34 | 2.409 | 1000 |
| 37.85 | 2.377 | 631 |
| 38.65 | 2.330 | 471 |
| 45.70 | 1.985 | 421 |
| 45.83 | 1.980 | 929 |
| 48.38 | 1.881 | 740 |

=====

Diffraction record for NaMg6CO8. The powder diffraction line list is computed, not measured: it uses a crystal structure in the Materials Project, relaxed with GGA-PBE and Cu Kα X-rays.
Intensities are scaled so that the largest is 1000.

Atomic structure:
```
NaMg6CO8
1.0
4.324 0.000 0.000
0.000 4.324 0.000
0.000 0.000 8.231
Na Mg C O
1 6 1 8
direct
0.000 0.000 0.000
0.000 0.500 0.250
0.000 0.500 0.750
0.500 0.000 0.250
0.500 0.000 0.750
0.500 0.500 0.000
0.500 0.500 0.500
0.000 0.000 0.500
0.000 0.000 0.299
0.000 0.000 0.701
0.000 0.500 0.000
0.000 0.500 0.500
0.500 0.000 0.000
0.500 0.000 0.500
0.500 0.500 0.253
0.500 0.500 0.747
```

The 10 most intense peaks (10° ≤ 2θ ≤ 90°), low angle first:
| 2θ/deg | d [Å] | I/Imax |
| --- | --- | --- |
| 36.61 | 2.454 | 119 |
| 38.87 | 2.317 | 37 |
| 41.78 | 2.162 | 1000 |
| 44.01 | 2.058 | 367 |
| 44.36 | 2.042 | 27 |
| 60.56 | 1.529 | 277 |
| 62.29 | 1.491 | 442 |
| 72.89 | 1.298 | 56 |
| 76.04 | 1.252 | 43 |
| 77.84 | 1.227 | 205 |